Diffraction record for Li3MnFe2B3O9. The powder X-ray diffraction pattern is simulated, not measured: it uses the PBE+U geometry in Alexandria and λ = 1.5418 Å (Cu Kα).
Kinematic intensities with the Lorentz-polarization factor, no thermal factor.

Most intense lines, 2θ from 15° to 90°, by angle:
d 4.125, rel. 83, hkl 1 0 1; d 4.105, rel. 42, hkl 2 0 -1; d 2.879, rel. 19, hkl 0 1 1; d 2.702, rel. 12, hkl 1 0 -3; d 2.500, rel. 100, hkl 1 1 1; d 2.385, rel. 13, hkl 0 0 3; d 2.378, rel. 12, hkl 3 0 0; d 2.369, rel. 14, hkl 3 0 -3; d 2.050, rel. 16, hkl 4 0 -2; d 1.899, rel. 24, hkl 0 1 3; d 1.672, rel. 14, hkl 3 1 -4; d 1.573, rel. 14, hkl 0 2 0

Structure:
```
Li3MnFe2B3O9
1.0
8.210 0.000 0.000
0.000 3.146 0.000
-4.073 0.000 7.155
Li Mn Fe B O
3 1 2 3 9
direct
0.000 0.000 0.000
0.266 0.000 0.685
0.580 0.000 0.260
0.294 0.500 0.356
0.649 0.500 0.969
0.914 0.500 0.623
0.282 0.500 0.982
0.619 0.000 0.651
0.948 0.000 0.319
0.142 0.000 0.406
0.169 0.500 0.065
0.197 0.500 0.787
0.475 0.500 0.091
0.506 0.000 0.457
0.536 0.000 0.764
0.813 0.000 0.732
0.842 0.000 0.125
0.859 0.000 0.425
```